(1)
Starting from a GGA+U-relaxed structure, the X-ray powder pattern of LiCo2P2O9 was calculated for Cu Kα (λ = 1.5418 Å).

Structural model:
a b c (Å): 13.614 6.060 7.377
angles (deg): 90.00 90.00 90.00
Element x y z (fractional)
1 Li 0.226 0.250 0.058
2 Li 0.274 0.750 0.558
3 Li 0.726 0.250 0.442
4 Li 0.774 0.750 0.942
5 Co 0.000 0.000 0.000
6 Co 0.000 0.500 0.000
7 Co 0.122 0.250 0.653
8 Co 0.378 0.750 0.153
9 Co 0.500 0.000 0.500
10 Co 0.500 0.500 0.500
11 Co 0.622 0.250 0.847
12 Co 0.878 0.750 0.347
13 P 0.063 0.750 0.646
14 P 0.195 0.750 0.097
15 P 0.305 0.250 0.597
16 P 0.437 0.250 0.146
17 P 0.563 0.750 0.854
18 P 0.695 0.750 0.403
19 P 0.805 0.250 0.903
20 P 0.937 0.250 0.354
21 O 0.006 0.750 0.834
22 O 0.007 0.250 0.512
23 O 0.041 0.250 0.860
24 O 0.133 0.536 0.078
25 O 0.133 0.964 0.078
26 O 0.136 0.556 0.646
27 O 0.136 0.944 0.646
28 O 0.217 0.250 0.461
29 O 0.246 0.250 0.779
30 O 0.254 0.750 0.279
31 O 0.283 0.750 0.961
32 O 0.364 0.056 0.146
33 O 0.364 0.444 0.146
34 O 0.367 0.036 0.578
35 O 0.367 0.464 0.578
36 O 0.459 0.750 0.360
37 O 0.493 0.750 0.012
38 O 0.494 0.250 0.334
39 O 0.506 0.750 0.666
40 O 0.507 0.250 0.988
41 O 0.541 0.250 0.640
42 O 0.633 0.536 0.422
43 O 0.633 0.964 0.422
44 O 0.636 0.556 0.854
45 O 0.636 0.944 0.854
46 O 0.717 0.250 0.039
47 O 0.746 0.250 0.721
48 O 0.754 0.750 0.221
49 O 0.783 0.750 0.539
50 O 0.864 0.056 0.354
51 O 0.864 0.444 0.354
52 O 0.867 0.036 0.922
53 O 0.867 0.464 0.922
54 O 0.959 0.750 0.140
55 O 0.993 0.750 0.488
56 O 0.994 0.250 0.166

Most intense lines, 2θ from 10° to 80°, low angle first:
Position (°2θ)  I_rel
13.01  75
13.65  35
17.73  100
18.95  35
20.05  62
23.03  63
25.01  94
31.25  35
32.61  92
35.13  31

=====

(2)
Starting from a GGA+U-relaxed structure, the X-ray powder pattern of Li2CoP2O7 was calculated for Cu Kα (λ = 1.5418 Å).

Structural model:
a b c (Å): 7.773 7.773 7.904
angles (deg): 115.66 115.66 42.26
Element x y z (fractional)
1 Li 0.064 0.378 0.307
2 Li 0.378 0.064 0.807
3 Li 0.622 0.936 0.193
4 Li 0.936 0.622 0.693
5 Co 0.000 0.000 0.000
6 Co 0.000 0.000 0.500
7 P 0.244 0.532 0.142
8 P 0.468 0.756 0.358
9 P 0.532 0.244 0.642
10 P 0.756 0.468 0.858
11 O 0.059 0.704 0.287
12 O 0.113 0.666 0.972
13 O 0.258 0.353 0.580
14 O 0.296 0.941 0.213
15 O 0.334 0.887 0.528
16 O 0.353 0.258 0.080
17 O 0.493 0.507 0.250
18 O 0.507 0.493 0.750
19 O 0.647 0.742 0.920
20 O 0.666 0.113 0.472
21 O 0.704 0.059 0.787
22 O 0.742 0.647 0.420
23 O 0.887 0.334 0.028
24 O 0.941 0.296 0.713

Most intense lines, 2θ from 10° to 80°, low angle first:
Position (°2θ)  I_rel
13.79  67
19.44  84
26.19  46
27.64  19
28.06  100
29.08  93
33.25  26
34.41  18
34.98  35
42.81  49

=====

(3)
Starting from a GGA+U-relaxed structure, the X-ray powder pattern of LiCoP2O7 was calculated for Cu Kα (λ = 1.5418 Å).

Structural model:
a b c (Å): 5.089 13.479 9.686
angles (deg): 90.00 120.40 90.00
Element x y z (fractional)
1 Li 0.048 0.132 0.146
2 Li 0.048 0.368 0.646
3 Li 0.952 0.632 0.354
4 Li 0.952 0.868 0.854
5 Co 0.034 0.672 0.738
6 Co 0.034 0.828 0.238
7 Co 0.966 0.172 0.762
8 Co 0.966 0.328 0.262
9 P 0.279 0.180 0.541
10 P 0.279 0.320 0.041
11 P 0.478 0.037 0.777
12 P 0.478 0.463 0.277
13 P 0.522 0.537 0.723
14 P 0.522 0.963 0.223
15 P 0.721 0.680 0.959
16 P 0.721 0.820 0.459
17 O 0.063 0.193 0.361
18 O 0.063 0.307 0.861
19 O 0.169 0.231 0.643
20 O 0.169 0.269 0.143
21 O 0.221 0.059 0.817
22 O 0.221 0.441 0.317
23 O 0.257 0.613 0.635
24 O 0.257 0.887 0.135
25 O 0.313 0.064 0.584
26 O 0.313 0.436 0.084
27 O 0.399 0.713 0.919
28 O 0.399 0.787 0.419
29 O 0.426 0.069 0.203
30 O 0.426 0.431 0.703
31 O 0.574 0.569 0.297
32 O 0.574 0.931 0.797
33 O 0.601 0.213 0.581
34 O 0.601 0.287 0.081
35 O 0.687 0.564 0.916
36 O 0.687 0.936 0.416
37 O 0.743 0.113 0.865
38 O 0.743 0.387 0.365
39 O 0.779 0.559 0.683
40 O 0.779 0.941 0.183
41 O 0.831 0.731 0.857
42 O 0.831 0.769 0.357
43 O 0.937 0.693 0.139
44 O 0.937 0.807 0.639

Most intense lines, 2θ from 10° to 80°, low angle first:
Position (°2θ)  I_rel
13.14  14
16.90  100
21.27  38
21.68  21
22.47  14
24.20  37
24.55  28
30.42  16
30.99  18
38.87  19

=====

(4)
Starting from a GGA+U-relaxed structure, the X-ray powder pattern of LiCo2P2O8 was calculated for Cu Kα (λ = 1.5418 Å).

Structural model:
a b c (Å): 5.116 6.632 10.246
angles (deg): 90.00 92.01 90.00
Element x y z (fractional)
1 Li 0.000 0.245 0.000
2 Li 0.000 0.755 0.500
3 Co 0.012 0.255 0.533
4 Co 0.012 0.745 0.033
5 Co 0.512 0.234 0.192
6 Co 0.512 0.766 0.692
7 P 0.018 0.481 0.265
8 P 0.018 0.519 0.765
9 P 0.502 0.020 0.455
10 P 0.502 0.980 0.955
11 O 0.314 0.453 0.247
12 O 0.314 0.547 0.747
13 O 0.376 0.205 0.517
14 O 0.376 0.795 0.017
15 O 0.385 0.176 0.014
16 O 0.385 0.824 0.514
17 O 0.449 0.017 0.306
18 O 0.449 0.983 0.806
19 O 0.801 0.020 0.487
20 O 0.801 0.980 0.987
21 O 0.875 0.305 0.189
22 O 0.875 0.695 0.689
23 O 0.932 0.315 0.708
24 O 0.932 0.685 0.208
25 O 0.953 0.480 0.412
26 O 0.953 0.520 0.912

Most intense lines, 2θ from 10° to 80°, low angle first:
Position (°2θ)  I_rel
15.92  52
21.94  100
23.40  43
23.85  44
29.43  35
32.16  33
35.08  53
36.46  19
37.07  18
61.08  17

=====

(5)
Starting from a GGA+U-relaxed structure, the X-ray powder pattern of Li2CoP2O7 was calculated for Cu Kα (λ = 1.5418 Å).

Structural model:
a b c (Å): 5.026 11.018 11.043
angles (deg): 98.96 102.56 102.54
Element x y z (fractional)
1 Li 0.000 0.000 0.000
2 Li 0.000 0.500 0.500
3 Li 0.173 0.056 0.381
4 Li 0.176 0.556 0.882
5 Li 0.472 0.219 0.045
6 Li 0.474 0.720 0.546
7 Li 0.647 0.102 0.601
8 Li 0.648 0.602 0.101
9 Co 0.023 0.215 0.857
10 Co 0.024 0.715 0.357
11 Co 0.624 0.244 0.386
12 Co 0.627 0.743 0.885
13 P 0.041 0.249 0.188
14 P 0.042 0.749 0.688
15 P 0.209 0.269 0.600
16 P 0.212 0.769 0.102
17 P 0.436 0.500 0.332
18 P 0.437 0.000 0.832
19 P 0.605 0.413 0.851
20 P 0.607 0.913 0.353
21 O 0.020 0.695 0.548
22 O 0.023 0.327 0.511
23 O 0.024 0.196 0.048
24 O 0.024 0.828 0.012
25 O 0.043 0.185 0.671
26 O 0.045 0.685 0.172
27 O 0.208 0.180 0.274
28 O 0.208 0.679 0.774
29 O 0.219 0.396 0.212
30 O 0.223 0.895 0.711
31 O 0.260 0.066 0.903
32 O 0.260 0.568 0.404
33 O 0.386 0.197 0.533
34 O 0.389 0.698 0.035
35 O 0.426 0.390 0.704
36 O 0.427 0.891 0.206
37 O 0.439 0.326 0.920
38 O 0.439 0.828 0.422
39 O 0.603 0.430 0.416
40 O 0.603 0.929 0.916
41 O 0.622 0.553 0.904
42 O 0.623 0.590 0.274
43 O 0.626 0.090 0.775
44 O 0.630 0.054 0.406
45 O 0.750 0.246 0.210
46 O 0.752 0.748 0.711
47 O 0.896 0.391 0.853
48 O 0.897 0.890 0.354

Most intense lines, 2θ from 10° to 80°, low angle first:
Position (°2θ)  I_rel
16.86  100
21.55  13
21.74  33
25.00  14
26.35  17
28.45  41
28.57  50
28.89  35
34.09  17
38.03  12

=====

Repeat the fifth record exactly.
Starting from a GGA+U-relaxed structure, the X-ray powder pattern of Li2CoP2O7 was calculated for Cu Kα (λ = 1.5418 Å).

Structural model:
a b c (Å): 5.026 11.018 11.043
angles (deg): 98.96 102.56 102.54
Element x y z (fractional)
1 Li 0.000 0.000 0.000
2 Li 0.000 0.500 0.500
3 Li 0.173 0.056 0.381
4 Li 0.176 0.556 0.882
5 Li 0.472 0.219 0.045
6 Li 0.474 0.720 0.546
7 Li 0.647 0.102 0.601
8 Li 0.648 0.602 0.101
9 Co 0.023 0.215 0.857
10 Co 0.024 0.715 0.357
11 Co 0.624 0.244 0.386
12 Co 0.627 0.743 0.885
13 P 0.041 0.249 0.188
14 P 0.042 0.749 0.688
15 P 0.209 0.269 0.600
16 P 0.212 0.769 0.102
17 P 0.436 0.500 0.332
18 P 0.437 0.000 0.832
19 P 0.605 0.413 0.851
20 P 0.607 0.913 0.353
21 O 0.020 0.695 0.548
22 O 0.023 0.327 0.511
23 O 0.024 0.196 0.048
24 O 0.024 0.828 0.012
25 O 0.043 0.185 0.671
26 O 0.045 0.685 0.172
27 O 0.208 0.180 0.274
28 O 0.208 0.679 0.774
29 O 0.219 0.396 0.212
30 O 0.223 0.895 0.711
31 O 0.260 0.066 0.903
32 O 0.260 0.568 0.404
33 O 0.386 0.197 0.533
34 O 0.389 0.698 0.035
35 O 0.426 0.390 0.704
36 O 0.427 0.891 0.206
37 O 0.439 0.326 0.920
38 O 0.439 0.828 0.422
39 O 0.603 0.430 0.416
40 O 0.603 0.929 0.916
41 O 0.622 0.553 0.904
42 O 0.623 0.590 0.274
43 O 0.626 0.090 0.775
44 O 0.630 0.054 0.406
45 O 0.750 0.246 0.210
46 O 0.752 0.748 0.711
47 O 0.896 0.391 0.853
48 O 0.897 0.890 0.354

Most intense lines, 2θ from 10° to 80°, low angle first:
Position (°2θ)  I_rel
16.86  100
21.55  13
21.74  33
25.00  14
26.35  17
28.45  41
28.57  50
28.89  35
34.09  17
38.03  12

=====

Copy entry 3 word for word.
Starting from a GGA+U-relaxed structure, the X-ray powder pattern of LiCoP2O7 was calculated for Cu Kα (λ = 1.5418 Å).

Structural model:
a b c (Å): 5.089 13.479 9.686
angles (deg): 90.00 120.40 90.00
Element x y z (fractional)
1 Li 0.048 0.132 0.146
2 Li 0.048 0.368 0.646
3 Li 0.952 0.632 0.354
4 Li 0.952 0.868 0.854
5 Co 0.034 0.672 0.738
6 Co 0.034 0.828 0.238
7 Co 0.966 0.172 0.762
8 Co 0.966 0.328 0.262
9 P 0.279 0.180 0.541
10 P 0.279 0.320 0.041
11 P 0.478 0.037 0.777
12 P 0.478 0.463 0.277
13 P 0.522 0.537 0.723
14 P 0.522 0.963 0.223
15 P 0.721 0.680 0.959
16 P 0.721 0.820 0.459
17 O 0.063 0.193 0.361
18 O 0.063 0.307 0.861
19 O 0.169 0.231 0.643
20 O 0.169 0.269 0.143
21 O 0.221 0.059 0.817
22 O 0.221 0.441 0.317
23 O 0.257 0.613 0.635
24 O 0.257 0.887 0.135
25 O 0.313 0.064 0.584
26 O 0.313 0.436 0.084
27 O 0.399 0.713 0.919
28 O 0.399 0.787 0.419
29 O 0.426 0.069 0.203
30 O 0.426 0.431 0.703
31 O 0.574 0.569 0.297
32 O 0.574 0.931 0.797
33 O 0.601 0.213 0.581
34 O 0.601 0.287 0.081
35 O 0.687 0.564 0.916
36 O 0.687 0.936 0.416
37 O 0.743 0.113 0.865
38 O 0.743 0.387 0.365
39 O 0.779 0.559 0.683
40 O 0.779 0.941 0.183
41 O 0.831 0.731 0.857
42 O 0.831 0.769 0.357
43 O 0.937 0.693 0.139
44 O 0.937 0.807 0.639

Most intense lines, 2θ from 10° to 80°, low angle first:
Position (°2θ)  I_rel
13.14  14
16.90  100
21.27  38
21.68  21
22.47  14
24.20  37
24.55  28
30.42  16
30.99  18
38.87  19